Record 1
# NdPaGa6
Calculated X-ray diffraction stick pattern, CuKα. Input: a PBE-relaxed structure.
Intensities are scaled so that the largest is 100.

Cell and atoms:
```
data_NdPaGa6
_chemical_formula_sum 'Nd1 Pa1 Ga6'
_cell_length_a 6.356
_cell_length_b 6.356
_cell_length_c 4.578
_cell_angle_alpha 90.00
_cell_angle_beta 90.00
_cell_angle_gamma 120.00
_space_group_name_H-M_alt 'P 1'
_space_group_IT_number 1
loop_
_space_group_symop_operation_xyz
'x,y,z'
loop_
_atom_site_label
_atom_site_type_symbol
_atom_site_fract_x
_atom_site_fract_y
_atom_site_fract_z
Nd1 Nd 0.000 0.000 0.000
Pa1 Pa 0.667 0.333 0.500
Ga1 Ga 0.039 0.520 0.000
Ga2 Ga 0.188 0.376 0.500
Ga3 Ga 0.188 0.812 0.500
Ga4 Ga 0.480 0.520 0.000
Ga5 Ga 0.480 0.961 0.000
Ga6 Ga 0.624 0.812 0.500
```

Top 10 peaks for 15 to 90 degrees two-theta, in order of rising 2θ:
| d (Å) | 2θ/deg | I (rel.) |
| --- | --- | --- |
| 3.520 | 25.30 | 33.4 |
| 3.178 | 28.08 | 14.4 |
| 2.752 | 32.53 | 26.0 |
| 2.359 | 38.15 | 100.0 |
| 2.289 | 39.36 | 21.8 |
| 1.760 | 51.96 | 13.8 |
| 1.589 | 58.05 | 16.7 |
| 1.335 | 70.57 | 16.1 |
| 1.318 | 71.60 | 12.1 |
| 1.305 | 72.40 | 17.2 |

Record 2
# NdPaGa4
Calculated X-ray diffraction stick pattern, CuKα. Input: a PBE-relaxed structure.
Intensities are scaled so that the largest is 100.

Cell and atoms:
```
data_NdPaGa4
_chemical_formula_sum 'Nd1 Pa1 Ga4'
_cell_length_a 4.121
_cell_length_b 4.245
_cell_length_c 7.376
_cell_angle_alpha 90.00
_cell_angle_beta 90.00
_cell_angle_gamma 90.00
_space_group_name_H-M_alt 'P 1'
_space_group_IT_number 1
loop_
_space_group_symop_operation_xyz
'x,y,z'
loop_
_atom_site_label
_atom_site_type_symbol
_atom_site_fract_x
_atom_site_fract_y
_atom_site_fract_z
Nd1 Nd 0.000 0.000 0.000
Pa1 Pa 0.000 0.500 0.500
Ga1 Ga 0.500 0.000 0.336
Ga2 Ga 0.500 0.000 0.664
Ga3 Ga 0.500 0.500 0.169
Ga4 Ga 0.500 0.500 0.831
```

Top 10 peaks for 15 to 90 degrees two-theta, in order of rising 2θ:
| d (Å) | 2θ/deg | I (rel.) |
| --- | --- | --- |
| 3.682 | 24.17 | 19.5 |
| 2.746 | 32.61 | 100.0 |
| 2.128 | 42.49 | 26.6 |
| 2.122 | 42.60 | 13.2 |
| 2.061 | 43.94 | 12.1 |
| 1.683 | 54.52 | 7.8 |
| 1.680 | 54.64 | 15.5 |
| 1.480 | 62.81 | 24.9 |
| 1.320 | 71.47 | 7.0 |
| 1.287 | 73.59 | 9.6 |

Record 3
# Nd2PaGa6
Calculated X-ray diffraction stick pattern, CuKα. Input: a PBE-relaxed structure.
Intensities are scaled so that the largest is 100.

Cell and atoms:
```
data_Nd2PaGa6
_chemical_formula_sum 'Nd2 Pa1 Ga6'
_cell_length_a 7.382
_cell_length_b 7.382
_cell_length_c 4.161
_cell_angle_alpha 90.00
_cell_angle_beta 90.00
_cell_angle_gamma 120.00
_space_group_name_H-M_alt 'P 1'
_space_group_IT_number 1
loop_
_space_group_symop_operation_xyz
'x,y,z'
loop_
_atom_site_label
_atom_site_type_symbol
_atom_site_fract_x
_atom_site_fract_y
_atom_site_fract_z
Nd1 Nd 0.333 0.667 0.000
Nd2 Nd 0.667 0.333 0.000
Pa1 Pa 0.000 0.000 0.000
Ga1 Ga 0.000 0.331 0.500
Ga2 Ga 0.000 0.669 0.500
Ga3 Ga 0.331 0.000 0.500
Ga4 Ga 0.331 0.331 0.500
Ga5 Ga 0.669 0.000 0.500
Ga6 Ga 0.669 0.669 0.500
```

Top 10 peaks for 15 to 90 degrees two-theta, in order of rising 2θ:
| d (Å) | 2θ/deg | I (rel.) |
| --- | --- | --- |
| 3.691 | 24.11 | 16.7 |
| 2.761 | 32.42 | 100.0 |
| 2.131 | 42.42 | 40.4 |
| 2.081 | 43.49 | 12.5 |
| 1.687 | 54.38 | 23.1 |
| 1.489 | 62.38 | 25.5 |
| 1.323 | 71.30 | 20.4 |
| 1.298 | 72.84 | 9.6 |
| 1.230 | 77.60 | 6.7 |
| 1.109 | 88.10 | 6.0 |

Record 4
# NdPa2Ga9
Calculated X-ray diffraction stick pattern, CuKα. Input: a PBE-relaxed structure.
Intensities are scaled so that the largest is 100.

Cell and atoms:
```
data_NdPa2Ga9
_chemical_formula_sum 'Nd1 Pa2 Ga9'
_cell_length_a 4.327
_cell_length_b 4.327
_cell_length_c 12.954
_cell_angle_alpha 90.00
_cell_angle_beta 90.00
_cell_angle_gamma 90.00
_space_group_name_H-M_alt 'P 1'
_space_group_IT_number 1
loop_
_space_group_symop_operation_xyz
'x,y,z'
loop_
_atom_site_label
_atom_site_type_symbol
_atom_site_fract_x
_atom_site_fract_y
_atom_site_fract_z
Nd1 Nd 0.000 0.000 0.000
Pa1 Pa 0.000 0.000 0.335
Pa2 Pa 0.000 0.000 0.665
Ga1 Ga 0.000 0.500 0.171
Ga2 Ga 0.000 0.500 0.500
Ga3 Ga 0.000 0.500 0.829
Ga4 Ga 0.500 0.000 0.171
Ga5 Ga 0.500 0.000 0.500
Ga6 Ga 0.500 0.000 0.829
Ga7 Ga 0.500 0.500 0.000
Ga8 Ga 0.500 0.500 0.336
Ga9 Ga 0.500 0.500 0.664
```

Top 10 peaks for 15 to 90 degrees two-theta, in order of rising 2θ:
| d (Å) | 2θ/deg | I (rel.) |
| --- | --- | --- |
| 4.324 | 20.54 | 26.6 |
| 3.058 | 29.21 | 22.8 |
| 2.497 | 35.97 | 100.0 |
| 2.162 | 41.78 | 49.4 |
| 1.934 | 46.99 | 13.0 |
| 1.765 | 51.79 | 9.9 |
| 1.529 | 60.56 | 32.6 |
| 1.305 | 72.45 | 25.5 |
| 1.302 | 72.58 | 12.4 |
| 1.248 | 76.28 | 11.0 |

Record 5
# NdPaGa5
Calculated X-ray diffraction stick pattern, CuKα. Input: a PBE-relaxed structure.
Intensities are scaled so that the largest is 100.

Cell and atoms:
```
data_NdPaGa5
_chemical_formula_sum 'Nd1 Pa1 Ga5'
_cell_length_a 4.897
_cell_length_b 4.897
_cell_length_c 6.701
_cell_angle_alpha 90.00
_cell_angle_beta 90.00
_cell_angle_gamma 90.00
_space_group_name_H-M_alt 'P 1'
_space_group_IT_number 1
loop_
_space_group_symop_operation_xyz
'x,y,z'
loop_
_atom_site_label
_atom_site_type_symbol
_atom_site_fract_x
_atom_site_fract_y
_atom_site_fract_z
Nd1 Nd 0.000 0.000 0.000
Pa1 Pa 0.500 0.500 0.500
Ga1 Ga 0.000 0.500 0.262
Ga2 Ga 0.000 0.500 0.738
Ga3 Ga 0.500 0.000 0.262
Ga4 Ga 0.500 0.000 0.738
Ga5 Ga 0.500 0.500 0.000
```

Top 10 peaks for 15 to 90 degrees two-theta, in order of rising 2θ:
| d (Å) | 2θ/deg | I (rel.) |
| --- | --- | --- |
| 4.897 | 18.11 | 13.0 |
| 3.954 | 22.49 | 59.0 |
| 2.449 | 36.70 | 53.0 |
| 2.408 | 37.35 | 100.0 |
| 2.082 | 43.47 | 21.6 |
| 2.032 | 44.59 | 10.0 |
| 1.731 | 52.88 | 18.5 |
| 1.406 | 66.52 | 36.3 |
| 1.383 | 67.78 | 16.7 |
| 1.204 | 79.63 | 10.6 |

Record 6
# Nd6Ga3Pb
Calculated X-ray diffraction stick pattern, CuKα. Input: a PBE-relaxed structure.
Intensities are scaled so that the largest is 100.

Cell and atoms:
```
data_Nd6Ga3Pb
_chemical_formula_sum 'Nd12 Ga6 Pb2'
_cell_length_a 9.320
_cell_length_b 9.320
_cell_length_c 7.282
_cell_angle_alpha 90.00
_cell_angle_beta 90.00
_cell_angle_gamma 109.84
_space_group_name_H-M_alt 'P 1'
_space_group_IT_number 1
loop_
_space_group_symop_operation_xyz
'x,y,z'
loop_
_atom_site_label
_atom_site_type_symbol
_atom_site_fract_x
_atom_site_fract_y
_atom_site_fract_z
Nd1 Nd 0.033 0.967 0.500
Nd2 Nd 0.111 0.495 0.999
Nd3 Nd 0.240 0.317 0.644
Nd4 Nd 0.305 0.695 0.526
Nd5 Nd 0.317 0.240 0.144
Nd6 Nd 0.495 0.111 0.499
Nd7 Nd 0.505 0.889 0.999
Nd8 Nd 0.683 0.760 0.644
Nd9 Nd 0.695 0.305 0.026
Nd10 Nd 0.760 0.683 0.144
Nd11 Nd 0.889 0.505 0.499
Nd12 Nd 0.967 0.033 0.000
Ga1 Ga 0.004 0.735 0.804
Ga2 Ga 0.265 0.996 0.804
Ga3 Ga 0.460 0.540 0.908
Ga4 Ga 0.540 0.460 0.408
Ga5 Ga 0.735 0.004 0.304
Ga6 Ga 0.996 0.265 0.304
Pb1 Pb 0.169 0.831 0.175
Pb2 Pb 0.831 0.169 0.675
```

Top 10 peaks for 15 to 90 degrees two-theta, in order of rising 2θ:
| d (Å) | 2θ/deg | I (rel.) |
| --- | --- | --- |
| 3.641 | 24.45 | 10.2 |
| 3.138 | 28.45 | 20.7 |
| 2.856 | 31.32 | 100.0 |
| 2.801 | 31.95 | 30.2 |
| 2.678 | 33.46 | 11.6 |
| 2.387 | 37.68 | 11.2 |
| 2.313 | 38.94 | 11.5 |
| 1.990 | 45.58 | 11.2 |
| 1.736 | 52.74 | 11.4 |
| 1.477 | 62.94 | 11.7 |